Structure and theoretical PXRD pattern of InGaHgTe2Se2 (a PBE-relaxed structure; copper Kα).

Cell and atoms:
abc: 8.511 11.914 6.062
angles: 90.00 133.59 90.00
Sites, in units of the cell vectors:
In (0.000, 0.000, 0.000)
In (0.500, 0.500, 0.000)
Ga (0.000, 0.235, 0.500)
Ga (0.500, 0.735, 0.500)
Hg (0.000, 0.741, 0.500)
Hg (0.500, 0.241, 0.500)
Te (0.201, 0.376, 0.968)
Te (0.299, 0.876, 0.032)
Te (0.701, 0.876, 0.968)
Te (0.799, 0.376, 0.032)
Se (0.244, 0.110, 0.526)
Se (0.256, 0.610, 0.474)
Se (0.744, 0.610, 0.526)
Se (0.756, 0.110, 0.474)

Peak list (10 most intense, 2θ from 10° to 80°, in order of falling intensity)
Position (°2θ), Rel. int.
25.20, 100
25.73, 87
42.54, 65
42.19, 44
50.41, 27
41.12, 25
26.70, 18
16.41, 17
50.73, 15
49.47, 14

Structure and theoretical PXRD pattern of Co6W7 (a PBE-relaxed structure; copper Kα).

Cell and atoms:
abc: 9.080 9.080 9.080
angles: 30.60 30.60 30.60
Sites, in units of the cell vectors:
Co (0.091, 0.091, 0.581)
Co (0.091, 0.581, 0.091)
Co (0.419, 0.909, 0.909)
Co (0.581, 0.091, 0.091)
Co (0.909, 0.419, 0.909)
Co (0.909, 0.909, 0.419)
W (0.000, 0.000, 0.000)
W (0.164, 0.164, 0.164)
W (0.347, 0.347, 0.347)
W (0.451, 0.451, 0.451)
W (0.549, 0.549, 0.549)
W (0.653, 0.653, 0.653)
W (0.836, 0.836, 0.836)

Peak list (10 most intense, 2θ from 10° to 80°, in order of falling intensity)
Position (°2θ), Rel. int.
37.54, 100
43.17, 79
44.17, 48
41.03, 45
72.36, 20
67.75, 19
71.63, 18
70.11, 17
77.24, 17
20.54, 16

Structure and theoretical PXRD pattern of Sr2In4Pt3 (a PBE-relaxed structure; copper Kα).

Cell and atoms:
abc: 14.819 14.819 4.529
angles: 90.00 90.00 120.00
Sites, in units of the cell vectors:
Sr (0.000, 0.186, 0.000)
Sr (0.000, 0.551, 0.500)
Sr (0.186, 0.000, 0.000)
Sr (0.333, 0.667, 0.500)
Sr (0.449, 0.449, 0.500)
Sr (0.551, 0.000, 0.500)
Sr (0.667, 0.333, 0.500)
Sr (0.814, 0.814, 0.000)
In (0.000, 0.000, 0.500)
In (0.000, 0.722, 0.000)
In (0.125, 0.479, 0.000)
In (0.183, 0.804, 0.500)
In (0.196, 0.378, 0.500)
In (0.278, 0.278, 0.000)
In (0.354, 0.875, 0.000)
In (0.378, 0.196, 0.500)
In (0.479, 0.125, 0.000)
In (0.521, 0.646, 0.000)
In (0.622, 0.817, 0.500)
In (0.646, 0.521, 0.000)
In (0.722, 0.000, 0.000)
In (0.804, 0.183, 0.500)
In (0.817, 0.622, 0.500)
In (0.875, 0.354, 0.000)
Pt (0.000, 0.351, 0.500)
Pt (0.000, 0.820, 0.500)
Pt (0.170, 0.685, 0.000)
Pt (0.180, 0.180, 0.500)
Pt (0.315, 0.484, 0.000)
Pt (0.351, 0.000, 0.500)
Pt (0.484, 0.315, 0.000)
Pt (0.516, 0.830, 0.000)
Pt (0.649, 0.649, 0.500)
Pt (0.685, 0.170, 0.000)
Pt (0.820, 0.000, 0.500)
Pt (0.830, 0.516, 0.000)

Peak list (10 most intense, 2θ from 10° to 80°, in order of falling intensity)
Position (°2θ), Rel. int.
31.19, 100
31.98, 85
42.25, 73
40.39, 66
39.81, 66
59.44, 51
37.77, 49
24.02, 45
44.09, 35
47.55, 34

Structure and theoretical PXRD pattern of TcSb3 (a PBE-relaxed structure; copper Kα).

Cell and atoms:
abc: 6.885 6.885 5.371
angles: 90.00 90.00 120.00
Sites, in units of the cell vectors:
Tc (0.333, 0.667, 0.250)
Tc (0.667, 0.333, 0.750)
Sb (0.000, 0.348, 0.500)
Sb (0.000, 0.652, 0.000)
Sb (0.348, 0.000, 0.500)
Sb (0.348, 0.348, 0.000)
Sb (0.652, 0.000, 0.000)
Sb (0.652, 0.652, 0.500)

Peak list (10 most intense, 2θ from 10° to 80°, in order of falling intensity)
Position (°2θ), Rel. int.
30.85, 100
45.64, 36
42.70, 33
22.28, 18
56.11, 17
58.07, 16
14.86, 15
75.13, 13
57.70, 11
33.36, 10

Structure and theoretical PXRD pattern of Er2H2IBrO2 (a PBE-relaxed structure; copper Kα).

Cell and atoms:
abc: 3.929 3.929 10.555
angles: 90.00 90.00 120.00
Sites, in units of the cell vectors:
Er (0.000, 0.000, 0.000)
Er (0.333, 0.667, 0.486)
H (0.667, 0.333, 0.333)
H (0.667, 0.333, 0.859)
I (0.000, 0.000, 0.689)
Br (0.333, 0.667, 0.188)
O (0.667, 0.333, 0.426)
O (0.667, 0.333, 0.953)

Peak list (10 most intense, 2θ from 10° to 80°, in order of falling intensity)
Position (°2θ), Rel. int.
36.74, 100
27.54, 85
46.21, 42
26.19, 33
16.80, 28
58.58, 24
60.44, 23
79.31, 22
33.97, 20
68.00, 14

Structure and theoretical PXRD pattern of Hf4ZnSnN2 (a PBE-relaxed structure; copper Kα).

Cell and atoms:
abc: 3.244 3.244 14.177
angles: 90.00 90.00 120.00
Sites, in units of the cell vectors:
Hf (0.000, 0.000, 0.156)
Hf (0.000, 0.000, 0.844)
Hf (0.333, 0.667, 0.331)
Hf (0.333, 0.667, 0.669)
Zn (0.333, 0.667, 0.000)
Sn (0.000, 0.000, 0.500)
N (0.667, 0.333, 0.241)
N (0.667, 0.333, 0.759)

Peak list (10 most intense, 2θ from 10° to 80°, in order of falling intensity)
Position (°2θ), Rel. int.
37.23, 100
31.85, 23
56.75, 21
70.41, 19
38.08, 19
69.85, 16
68.26, 15
50.47, 15
12.49, 9
32.49, 6

Structure and theoretical PXRD pattern of Dy2Er4TmNi2Te2 (a PBE-relaxed structure; copper Kα).

Cell and atoms:
abc: 9.309 9.309 9.309
angles: 156.34 66.91 118.44
Sites, in units of the cell vectors:
Dy (0.133, 0.000, 0.133)
Dy (0.867, 0.000, 0.867)
Er (0.113, 0.798, 0.315)
Er (0.482, 0.798, 0.685)
Er (0.501, 0.147, 0.354)
Er (0.793, 0.147, 0.646)
Tm (0.419, 0.419, 0.000)
Ni (0.254, 0.490, 0.764)
Ni (0.726, 0.490, 0.236)
Te (0.156, 0.656, 0.500)
Te (0.753, 0.753, 0.000)

Peak list (10 most intense, 2θ from 10° to 80°, in order of falling intensity)
Position (°2θ), Rel. int.
34.26, 100
33.09, 79
34.71, 72
30.56, 52
59.23, 37
47.65, 29
30.26, 23
29.06, 23
36.82, 23
38.66, 19

Structure and theoretical PXRD pattern of PAu6 (a PBE-relaxed structure; copper Kα).

Cell and atoms:
abc: 6.863 6.863 6.863
angles: 73.49 73.49 73.49
Sites, in units of the cell vectors:
P (0.130, 0.130, 0.130)
P (0.870, 0.870, 0.870)
Au (0.015, 0.372, 0.372)
Au (0.219, 0.219, 0.745)
Au (0.219, 0.745, 0.219)
Au (0.255, 0.781, 0.781)
Au (0.372, 0.015, 0.372)
Au (0.372, 0.372, 0.015)
Au (0.628, 0.628, 0.985)
Au (0.628, 0.985, 0.628)
Au (0.745, 0.219, 0.219)
Au (0.781, 0.255, 0.781)
Au (0.781, 0.781, 0.255)
Au (0.985, 0.628, 0.628)

Peak list (10 most intense, 2θ from 10° to 80°, in order of falling intensity)
Position (°2θ), Rel. int.
39.48, 100
36.20, 73
41.44, 72
44.12, 68
27.81, 67
35.51, 64
45.46, 54
25.76, 52
33.89, 51
75.14, 50

Structure and theoretical PXRD pattern of LiBPd3 (a PBE-relaxed structure; copper Kα).

Cell and atoms:
abc: 5.507 5.507 5.519
angles: 90.00 90.00 120.00
Sites, in units of the cell vectors:
Li (0.000, 0.000, 0.000)
Li (0.000, 0.000, 0.500)
B (0.333, 0.667, 0.000)
B (0.667, 0.333, 0.000)
Pd (0.000, 0.500, 0.256)
Pd (0.000, 0.500, 0.744)
Pd (0.500, 0.000, 0.256)
Pd (0.500, 0.000, 0.744)
Pd (0.500, 0.500, 0.256)
Pd (0.500, 0.500, 0.744)

Peak list (10 most intense, 2θ from 10° to 80°, in order of falling intensity)
Position (°2θ), Rel. int.
37.71, 100
50.59, 75
18.61, 55
32.46, 48
68.10, 19
77.48, 18
46.59, 12
61.44, 9
67.93, 5
71.30, 3

Structure and theoretical PXRD pattern of HoZn2Au4 (a PBE-relaxed structure; copper Kα).

Cell and atoms:
abc: 5.319 6.967 6.996
angles: 90.00 90.00 90.00
Sites, in units of the cell vectors:
Ho (0.000, 0.000, 0.000)
Ho (0.500, 0.500, 0.500)
Zn (0.249, 0.500, 0.000)
Zn (0.251, 0.000, 0.500)
Zn (0.749, 0.000, 0.500)
Zn (0.751, 0.500, 0.000)
Au (0.000, 0.298, 0.300)
Au (0.000, 0.298, 0.700)
Au (0.000, 0.702, 0.300)
Au (0.000, 0.702, 0.700)
Au (0.500, 0.202, 0.200)
Au (0.500, 0.202, 0.800)
Au (0.500, 0.798, 0.200)
Au (0.500, 0.798, 0.800)

Peak list (10 most intense, 2θ from 10° to 80°, in order of falling intensity)
Position (°2θ), Rel. int.
36.40, 100
33.28, 94
42.75, 73
42.32, 61
42.47, 59
33.70, 58
38.45, 35
50.44, 35
66.86, 32
50.14, 30

Structure and theoretical PXRD pattern of La2Nd2O7 (a PBE-relaxed structure; copper Kα).

Cell and atoms:
abc: 8.237 6.027 6.027
angles: 35.62 90.00 90.00
Sites, in units of the cell vectors:
La (0.000, 0.000, 0.000)
La (0.500, 0.011, 0.011)
Nd (0.259, 0.287, 0.287)
Nd (0.741, 0.287, 0.287)
O (0.000, 0.372, 0.372)
O (0.092, 0.653, 0.653)
O (0.253, 0.910, 0.910)
O (0.500, 0.383, 0.383)
O (0.500, 0.657, 0.657)
O (0.747, 0.910, 0.910)
O (0.908, 0.653, 0.653)

Peak list (10 most intense, 2θ from 10° to 80°, in order of falling intensity)
Position (°2θ), Rel. int.
26.64, 100
33.76, 61
33.54, 53
25.37, 39
51.91, 37
40.42, 25
57.04, 24
56.56, 22
31.17, 19
43.97, 17

Structure and theoretical PXRD pattern of K2Pd3Se4 (a PBE-relaxed structure; copper Kα).

Cell and atoms:
abc: 14.345 13.606 6.411
angles: 83.27 70.38 26.35
Sites, in units of the cell vectors:
K (0.051, 0.051, 0.199)
K (0.199, 0.199, 0.051)
K (0.801, 0.801, 0.949)
K (0.949, 0.949, 0.801)
Pd (0.126, 0.126, 0.624)
Pd (0.375, 0.375, 0.375)
Pd (0.376, 0.376, 0.874)
Pd (0.624, 0.624, 0.126)
Pd (0.625, 0.625, 0.625)
Pd (0.874, 0.874, 0.376)
Se (0.151, 0.473, 0.266)
Se (0.266, 0.610, 0.151)
Se (0.390, 0.734, 0.527)
Se (0.473, 0.151, 0.610)
Se (0.527, 0.849, 0.390)
Se (0.610, 0.266, 0.473)
Se (0.734, 0.390, 0.849)
Se (0.849, 0.527, 0.734)

Peak list (10 most intense, 2θ from 10° to 80°, in order of falling intensity)
Position (°2θ), Rel. int.
13.39, 100
42.54, 65
35.08, 59
16.34, 46
36.77, 43
34.66, 38
17.31, 37
53.07, 28
41.69, 26
18.91, 26